(1)
For K8Sb2H, a DFT-relaxed cell (GGA-PBE, Alexandria) gives the theoretical XRD peak list in this record (Cu Kα (λ = 1.5418 Å)).
Intensities are scaled so that the largest is 100.

Top 8 peaks for 10° ≤ 2θ ≤ 80°, by intensity:
hkl, two_theta, intensity
5 1 -1, 26.78, 100.0
1 1 2, 29.07, 76.5
0 2 0, 29.84, 53.2
5 1 -2, 31.69, 38.5
2 0 1, 16.29, 33.9
6 0 1, 31.79, 29.2
1 1 -2, 27.13, 27.8
1 1 -1, 18.67, 27.6

Atomic structure:
```
data_K8Sb2H
_cell_length_a 20.7907
_cell_length_b 5.9887
_cell_length_c 7.8753
_cell_angle_alpha 90.00
_cell_angle_beta 104.74
_cell_angle_gamma 90.00
_symmetry_space_group_name_H-M 'C 1 2/m 1'
_symmetry_Int_Tables_number 12
_symmetry_space_group_name_Hall '-C 2y'
loop_
_atom_site_label
_atom_site_fract_x
_atom_site_fract_y
_atom_site_fract_z
K1 0.0247 0.0000 0.2734
K2 0.0906 0.5000 0.8173
K3 0.1737 0.5000 0.4130
K4 0.2219 0.0000 0.1313
Sb1 0.1582 0.0000 0.6669
H1 0.0000 0.5000 0.0000
```

***

(2)
For K2SbH2, a DFT-relaxed cell (GGA-PBE, Alexandria) gives the theoretical XRD peak list in this record (Cu Kα (λ = 1.5418 Å)).
Intensities are scaled so that the largest is 100.

Top 8 peaks for 10° ≤ 2θ ≤ 80°, by intensity:
hkl, two_theta, intensity
1 2 -1, 28.69, 100.0
1 2 0, 26.88, 54.2
0 2 1, 26.75, 52.8
0 1 1, 19.59, 45.6
1 1 1, 29.28, 34.1
1 1 0, 19.79, 33.6
0 0 1, 16.61, 30.3
2 0 -1, 32.73, 29.6

Atomic structure:
```
data_K2SbH2
_cell_length_a 5.5639
_cell_length_b 8.5345
_cell_length_c 5.6330
_cell_angle_alpha 90.00
_cell_angle_beta 108.62
_cell_angle_gamma 90.00
_symmetry_space_group_name_H-M 'P 1 21/m 1'
_symmetry_Int_Tables_number 11
_symmetry_space_group_name_Hall '-P 2yb'
loop_
_atom_site_label
_atom_site_fract_x
_atom_site_fract_y
_atom_site_fract_z
K1 0.1970 0.0024 0.3003
Sb1 0.4036 0.2500 0.9012
H1 0.3738 0.6058 0.8783
```

***

(3)
For K2SnSbH, a DFT-relaxed cell (GGA-PBE, Alexandria) gives the theoretical XRD peak list in this record (Cu Kα (λ = 1.5418 Å)).
Intensities are scaled so that the largest is 100.

Top 8 peaks for 10° ≤ 2θ ≤ 80°, by intensity:
hkl, two_theta, intensity
0 1 2, 26.31, 100.0
1 0 1, 17.02, 81.7
1 1 -3, 32.95, 76.3
1 0 -1, 13.84, 73.0
2 1 0, 33.21, 69.4
2 1 -2, 34.59, 67.3
0 0 2, 16.86, 51.2
1 0 3, 31.20, 48.4

Atomic structure:
```
data_K2SnSbH
_cell_length_a 6.9780
_cell_length_b 4.4286
_cell_length_c 10.7841
_cell_angle_alpha 90.00
_cell_angle_beta 102.84
_cell_angle_gamma 90.00
_symmetry_space_group_name_H-M 'P 1 21/m 1'
_symmetry_Int_Tables_number 11
_symmetry_space_group_name_Hall '-P 2yb'
loop_
_atom_site_label
_atom_site_fract_x
_atom_site_fract_y
_atom_site_fract_z
K1 0.2012 0.2500 0.4079
K2 0.2939 0.7500 0.0689
Sn1 0.3316 0.7500 0.6820
Sb1 0.1592 0.2500 0.7974
H1 0.4185 0.2500 0.2112
```

***

(4)
For KH8Se2, a DFT-relaxed cell (GGA-PBE, Alexandria) gives the theoretical XRD peak list in this record (Cu Kα (λ = 1.5418 Å)).
Intensities are scaled so that the largest is 100.

Top 8 peaks for 10° ≤ 2θ ≤ 80°, by intensity:
hkl, two_theta, intensity
1 1 0, 15.01, 100.0
1 3 0, 21.38, 50.5
2 0 0, 28.26, 39.0
1 3 -1, 34.79, 36.0
1 3 1, 35.23, 34.8
1 5 0, 30.48, 25.1
0 6 0, 32.44, 25.0
0 2 1, 29.48, 24.1

Atomic structure:
```
data_KH8Se2
_cell_length_a 6.3166
_cell_length_b 16.5601
_cell_length_c 3.2558
_cell_angle_alpha 90.00
_cell_angle_beta 91.08
_cell_angle_gamma 90.00
_symmetry_space_group_name_H-M 'C 1 2/m 1'
_symmetry_Int_Tables_number 12
_symmetry_space_group_name_Hall '-C 2y'
loop_
_atom_site_label
_atom_site_fract_x
_atom_site_fract_y
_atom_site_fract_z
K1 0.0000 0.0000 0.0000
H1 0.0000 0.2055 0.0000
H2 0.0009 0.5000 0.1153
H3 0.0601 0.3687 0.4990
Se1 0.0000 0.1688 0.5000
```